Calculated XRD peak list
Compound: Dy3HgPd
Radiation: Cu Kα (λ = 1.5418 Å)
Structure: a crystal structure in Alexandria, relaxed with PBE
Lines closer than 0.1° are merged.

Cell and atoms:
a = 8.915 Å, b = 8.915 Å, c = 3.869 Å
α = 90.00°, β = 90.00°, γ = 112.98°
Sites, in units of the cell vectors:
Dy1 0.165 0.835 0.000
Dy2 0.190 0.423 0.500
Dy3 0.423 0.190 0.500
Dy4 0.577 0.810 0.500
Dy5 0.810 0.577 0.500
Dy6 0.835 0.165 0.000
Hg1 0.000 0.000 0.500
Hg2 0.500 0.500 0.000
Pd1 0.000 0.500 0.000
Pd2 0.500 0.000 0.000

The 12 most intense peaks (10° ≤ 2θ ≤ 90°), sorted by position:
4.104 Å, 21.7 deg, I = 274
3.204 Å, 27.8 deg, I = 298
3.042 Å, 29.4 deg, I = 266
2.913 Å, 30.7 deg, I = 1000
2.736 Å, 32.7 deg, I = 245
2.680 Å, 33.4 deg, I = 251
2.468 Å, 36.4 deg, I = 380
2.461 Å, 36.5 deg, I = 232
2.354 Å, 38.2 deg, I = 564
2.213 Å, 40.8 deg, I = 383
1.934 Å, 47.0 deg, I = 267
1.654 Å, 55.5 deg, I = 399